[1]
Calculated powder X-ray diffraction pattern of Pb2SO5 for a wavelength of 1.5418 Å, from a PBE-relaxed structure.
Kinematic intensities with the Lorentz-polarization factor, no thermal factor.

Cell and atoms:
```
Pb2SO5
1.0
6.984 -2.905 0.000
6.984 2.905 0.000
-3.023 0.000 6.517
Pb S O
4 2 10
Direct
0.025 0.025 0.269 Pb
0.354 0.354 0.899 Pb
0.646 0.646 0.101 Pb
0.975 0.975 0.731 Pb
0.328 0.328 0.343 S
0.672 0.672 0.657 S
0.144 0.563 0.252 O
0.211 0.211 0.288 O
0.247 0.753 0.000 O
0.389 0.389 0.571 O
0.437 0.856 0.748 O
0.563 0.144 0.252 O
0.611 0.611 0.429 O
0.753 0.247 0.000 O
0.789 0.789 0.712 O
0.856 0.437 0.748 O
```

Principal peaks in the range 10 to 90 degrees two-theta, in order of rising 2θ:
d = 6.517 Å, intensity 18
d = 6.336 Å, intensity 16
d = 4.508 Å, intensity 16
d = 3.417 Å, intensity 100
d = 3.020 Å, intensity 78
d = 2.984 Å, intensity 23
d = 2.905 Å, intensity 52
d = 2.312 Å, intensity 20
d = 2.082 Å, intensity 27
d = 1.895 Å, intensity 29



[2]
Calculated powder X-ray diffraction pattern of AlBiSCl4 for a wavelength of 1.5418 Å, from a PBE-relaxed structure.
Kinematic intensities with the Lorentz-polarization factor, no thermal factor.

Cell and atoms:
```
AlBiSCl4
1.0
-6.064 6.064 5.683
6.064 -6.064 5.683
6.064 6.064 -5.683
Al Bi S Cl
4 4 4 16
Direct
0.091 0.211 0.730 Al
0.481 0.361 0.270 Al
0.639 0.909 0.120 Al
0.789 0.519 0.880 Al
0.285 0.573 0.592 Bi
0.307 0.715 0.288 Bi
0.427 0.019 0.712 Bi
0.981 0.693 0.408 Bi
0.074 0.489 0.307 S
0.182 0.767 0.693 S
0.233 0.926 0.415 S
0.511 0.818 0.585 S
0.009 0.313 0.588 Cl
0.050 0.666 0.985 Cl
0.094 0.311 0.946 Cl
0.322 0.267 0.742 Cl
0.334 0.319 0.384 Cl
0.365 0.148 0.054 Cl
0.420 0.678 0.945 Cl
0.525 0.580 0.258 Cl
0.579 0.991 0.304 Cl
0.681 0.065 0.015 Cl
0.687 0.275 0.696 Cl
0.689 0.635 0.784 Cl
0.725 0.421 0.412 Cl
0.733 0.475 0.055 Cl
0.852 0.906 0.216 Cl
0.935 0.950 0.616 Cl
```

Principal peaks in the range 10 to 90 degrees two-theta, in order of rising 2θ:
d = 8.576 Å, intensity 47
d = 8.293 Å, intensity 100
d = 4.895 Å, intensity 36
d = 3.809 Å, intensity 20
d = 3.225 Å, intensity 26
d = 3.106 Å, intensity 20
d = 2.846 Å, intensity 41
d = 2.712 Å, intensity 31
d = 2.697 Å, intensity 17
d = 1.962 Å, intensity 24



[3]
Calculated powder X-ray diffraction pattern of Er2Si4CN6 for a wavelength of 1.5418 Å, from a PBE-relaxed structure.
Kinematic intensities with the Lorentz-polarization factor, no thermal factor.

Cell and atoms:
```
Er2Si4CN6
1.0
5.938 0.000 0.000
0.000 9.939 0.000
-5.870 0.000 10.348
Er Si C N
8 16 4 24
Direct
0.159 0.087 0.418 Er
0.159 0.413 0.918 Er
0.169 0.066 0.905 Er
0.169 0.434 0.405 Er
0.831 0.566 0.595 Er
0.831 0.934 0.095 Er
0.841 0.587 0.082 Er
0.841 0.913 0.582 Er
0.177 0.228 0.659 Si
0.177 0.272 0.159 Si
0.298 0.705 0.823 Si
0.298 0.795 0.323 Si
0.335 0.713 0.580 Si
0.335 0.787 0.080 Si
0.495 0.520 0.251 Si
0.495 0.980 0.751 Si
0.505 0.020 0.249 Si
0.505 0.480 0.749 Si
0.665 0.213 0.920 Si
0.665 0.287 0.420 Si
0.702 0.205 0.677 Si
0.702 0.295 0.177 Si
0.823 0.728 0.841 Si
0.823 0.772 0.341 Si
0.477 0.708 0.248 C
0.477 0.792 0.748 C
0.523 0.208 0.252 C
0.523 0.292 0.752 C
0.006 0.209 0.000 N
0.006 0.291 0.500 N
0.019 0.236 0.247 N
0.019 0.264 0.747 N
0.199 0.053 0.637 N
0.199 0.447 0.137 N
0.256 0.535 0.776 N
0.256 0.965 0.276 N
0.442 0.545 0.600 N
0.442 0.955 0.100 N
0.459 0.709 0.991 N
0.459 0.791 0.491 N
0.541 0.209 0.509 N
0.541 0.291 0.009 N
0.558 0.045 0.900 N
0.558 0.455 0.400 N
0.744 0.035 0.724 N
0.744 0.465 0.224 N
0.801 0.553 0.863 N
0.801 0.947 0.363 N
0.981 0.736 0.253 N
0.981 0.764 0.753 N
0.994 0.709 0.500 N
0.994 0.791 0.000 N
```

Principal peaks in the range 10 to 90 degrees two-theta, in order of rising 2θ:
d = 5.168 Å, intensity 20
d = 4.586 Å, intensity 28
d = 2.991 Å, intensity 22
d = 2.972 Å, intensity 43
d = 2.788 Å, intensity 100
d = 2.563 Å, intensity 18
d = 2.550 Å, intensity 30
d = 2.501 Å, intensity 24
d = 2.038 Å, intensity 16
d = 1.679 Å, intensity 15



[4]
Calculated powder X-ray diffraction pattern of KLiS for a wavelength of 1.5418 Å, from a PBE-relaxed structure.
Kinematic intensities with the Lorentz-polarization factor, no thermal factor.

Cell and atoms:
```
KLiS
1.0
4.216 0.000 0.000
-2.108 3.651 0.000
0.000 0.000 9.069
K Li S
2 2 2
Direct
0.000 0.000 0.000 K
0.000 0.000 0.500 K
0.333 0.667 0.250 Li
0.667 0.333 0.750 Li
0.333 0.667 0.750 S
0.667 0.333 0.250 S
```

Principal peaks in the range 10 to 90 degrees two-theta, in order of rising 2θ:
d = 3.651 Å, intensity 13
d = 3.387 Å, intensity 28
d = 2.844 Å, intensity 100
d = 2.328 Å, intensity 9
d = 2.267 Å, intensity 14
d = 2.108 Å, intensity 33
d = 1.693 Å, intensity 18
d = 1.544 Å, intensity 22
d = 1.397 Å, intensity 9
d = 1.320 Å, intensity 14



[5]
Calculated powder X-ray diffraction pattern of Hf2NiS4 for a wavelength of 1.5418 Å, from a PBE-relaxed structure.
Kinematic intensities with the Lorentz-polarization factor, no thermal factor.

Cell and atoms:
```
Hf2NiS4
1.0
13.027 0.000 0.000
0.000 3.551 0.000
-2.797 0.000 5.425
Hf Ni S
4 2 8
Direct
0.245 0.000 0.246 Hf
0.255 0.500 0.754 Hf
0.745 0.500 0.246 Hf
0.755 0.000 0.754 Hf
0.000 0.500 0.500 Ni
0.500 0.000 0.500 Ni
0.117 0.000 0.781 S
0.117 0.500 0.292 S
0.383 0.000 0.708 S
0.383 0.500 0.219 S
0.617 0.000 0.292 S
0.617 0.500 0.781 S
0.883 0.000 0.219 S
0.883 0.500 0.708 S
```

Principal peaks in the range 10 to 90 degrees two-theta, in order of rising 2θ:
d = 5.789 Å, intensity 100
d = 3.070 Å, intensity 75
d = 3.052 Å, intensity 35
d = 2.895 Å, intensity 21
d = 2.714 Å, intensity 49
d = 2.705 Å, intensity 72
d = 2.112 Å, intensity 75
d = 2.100 Å, intensity 43
d = 2.088 Å, intensity 26
d = 1.765 Å, intensity 36



[6]
Calculated powder X-ray diffraction pattern of Sc2Ni12P7 for a wavelength of 1.5418 Å, from a PBE-relaxed structure.
Kinematic intensities with the Lorentz-polarization factor, no thermal factor.

Cell and atoms:
```
Sc2Ni12P7
1.0
8.979 0.000 0.000
-4.489 7.776 0.000
0.000 0.000 3.595
Sc Ni P
2 12 7
Direct
0.000 0.000 0.000 Sc
0.333 0.667 0.500 Sc
0.050 0.767 0.500 Ni
0.102 0.396 0.000 Ni
0.233 0.283 0.500 Ni
0.294 0.898 0.000 Ni
0.390 0.212 0.000 Ni
0.541 0.113 0.500 Ni
0.573 0.459 0.500 Ni
0.604 0.706 0.000 Ni
0.717 0.950 0.500 Ni
0.788 0.178 0.000 Ni
0.822 0.610 0.000 Ni
0.887 0.427 0.500 Ni
0.079 0.627 0.000 P
0.255 0.040 0.500 P
0.373 0.452 0.000 P
0.548 0.921 0.000 P
0.667 0.333 0.000 P
0.785 0.745 0.500 P
0.960 0.215 0.500 P
```

Principal peaks in the range 10 to 90 degrees two-theta, in order of rising 2θ:
d = 4.489 Å, intensity 9
d = 2.275 Å, intensity 100
d = 2.102 Å, intensity 12
d = 1.944 Å, intensity 10
d = 1.849 Å, intensity 25
d = 1.797 Å, intensity 22
d = 1.784 Å, intensity 15
d = 1.697 Å, intensity 18
d = 1.266 Å, intensity 9
d = 1.234 Å, intensity 11



[7]
Calculated powder X-ray diffraction pattern of Pr2SiTeO4 for a wavelength of 1.5418 Å, from a PBE-relaxed structure.
Kinematic intensities with the Lorentz-polarization factor, no thermal factor.

Cell and atoms:
```
Pr2SiTeO4
1.0
6.402 0.000 0.000
0.000 7.322 0.000
0.000 0.000 11.356
Pr Si Te O
8 4 4 16
Direct
0.112 0.250 0.000 Pr
0.112 0.250 0.500 Pr
0.387 0.540 0.250 Pr
0.387 0.960 0.750 Pr
0.613 0.040 0.250 Pr
0.613 0.460 0.750 Pr
0.888 0.750 0.000 Pr
0.888 0.750 0.500 Pr
0.386 0.750 0.000 Si
0.386 0.750 0.500 Si
0.614 0.250 0.000 Si
0.614 0.250 0.500 Si
0.097 0.576 0.750 Te
0.097 0.924 0.250 Te
0.903 0.076 0.750 Te
0.903 0.424 0.250 Te
0.231 0.578 0.036 O
0.231 0.578 0.464 O
0.231 0.922 0.536 O
0.231 0.922 0.964 O
0.453 0.229 0.615 O
0.453 0.229 0.885 O
0.453 0.271 0.115 O
0.453 0.271 0.385 O
0.547 0.729 0.615 O
0.547 0.729 0.885 O
0.547 0.771 0.115 O
0.547 0.771 0.385 O
0.769 0.078 0.036 O
0.769 0.078 0.464 O
0.769 0.422 0.536 O
0.769 0.422 0.964 O
```

Principal peaks in the range 10 to 90 degrees two-theta, in order of rising 2θ:
d = 3.674 Å, intensity 25
d = 3.077 Å, intensity 76
d = 3.060 Å, intensity 20
d = 2.839 Å, intensity 100
d = 2.606 Å, intensity 25
d = 2.318 Å, intensity 32
d = 2.280 Å, intensity 16
d = 1.796 Å, intensity 14
d = 1.681 Å, intensity 19
d = 1.420 Å, intensity 27



[8]
Calculated powder X-ray diffraction pattern of KRbMg6O7 for a wavelength of 1.5418 Å, from a PBE-relaxed structure.
Kinematic intensities with the Lorentz-polarization factor, no thermal factor.

Cell and atoms:
```
KRbMg6O7
1.0
4.148 0.000 0.000
0.000 4.148 0.000
0.000 0.000 13.942
K Rb Mg O
1 1 6 7
Direct
0.000 0.000 0.000 K
0.000 0.000 0.517 Rb
0.000 0.500 0.249 Mg
0.000 0.500 0.777 Mg
0.500 0.000 0.249 Mg
0.500 0.000 0.777 Mg
0.500 0.500 0.090 Mg
0.500 0.500 0.406 Mg
0.000 0.000 0.248 O
0.000 0.000 0.772 O
0.000 0.500 0.102 O
0.000 0.500 0.396 O
0.500 0.000 0.102 O
0.500 0.000 0.396 O
0.500 0.500 0.783 O
```

Principal peaks in the range 10 to 90 degrees two-theta, in order of rising 2θ:
d = 4.647 Å, intensity 49
d = 4.148 Å, intensity 39
d = 3.564 Å, intensity 49
d = 3.486 Å, intensity 50
d = 3.094 Å, intensity 44
d = 2.703 Å, intensity 94
d = 2.668 Å, intensity 87
d = 2.074 Å, intensity 100
d = 1.637 Å, intensity 36
d = 1.466 Å, intensity 29